The following is a calculated powder diffraction line list of K2Au2I5. It was derived from a crystal structure in Alexandria, relaxed with GGA-PBE, using Cu Kα X-rays.
Intensities are scaled so that the largest is 100.

Cell lengths 19.2185, 5.7573, 7.5459 Å; angles 90.00, 111.06, 90.00 degrees
Space group C2/m (No. 12)
Symmetry-distinct sites (fractional):
K  0.1085  0.0000  0.3070 [4 per cell]
Au  0.0962  0.5000  0.7946 [4 per cell]
I  0.0000  0.5000  0.0000 [2 per cell]
I  0.0936  0.0000  0.8033 [4 per cell]
I  0.1862  0.5000  0.5880 [4 per cell]

Largest 12 diffraction maxima, sorted by position, 2θ = 10–90°:
2θ/deg, d (Å), I/Imax, hkl
16.17, 5.482, 22.6, 1 1 0
18.61, 4.768, 100.0, 2 0 1
19.80, 4.484, 18.6, 4 0 0
21.61, 4.112, 18.8, 1 1 1
27.55, 3.238, 18.9, 3 1 1
31.07, 2.879, 40.3, 0 2 0
31.54, 2.836, 36.6, 6 0 -2
36.26, 2.477, 22.6, 4 0 -3
36.46, 2.464, 37.4, 2 2 1
37.73, 2.384, 22.0, 4 0 2
44.87, 2.020, 31.5, 6 2 -2
49.65, 1.836, 19.9, 4 2 2